No. 1
Diffraction record for CaAl4VO8. The powder X-ray diffraction pattern is simulated, not measured: it uses a structure optimized by DFT (GGA+U) and Cu Ka.
Peak positions follow from Bragg's law for the DFT cell and can differ from measured ones.

The 10 most intense peaks (5 to 70 degrees two-theta), by angle:
two_theta  d (Å)  I (rel.)
18.44  4.812  31
30.49  2.932  44
34.66  2.588  48
35.47  2.531  100
35.86  2.504  16
42.98  2.104  57
56.91  1.618  29
57.46  1.604  24
61.36  1.511  46
63.45  1.466  47

```
data_CaAl4VO8
_cell_length_a 6.049
_cell_length_b 6.049
_cell_length_c 6.049
_cell_angle_alpha 57.99
_cell_angle_beta 57.99
_cell_angle_gamma 57.99
_symmetry_space_group_name_H-M 'P 1'
_symmetry_Int_Tables_number 1
loop_
_symmetry_equiv_pos_as_xyz
'x,y,z'
loop_
_atom_site_label
_atom_site_fract_x
_atom_site_fract_y
_atom_site_fract_z
Ca1 0.000 0.000 0.000
Al1 0.368 0.368 0.887
Al2 0.368 0.887 0.368
Al3 0.756 0.756 0.756
Al4 0.887 0.368 0.368
V1 0.371 0.371 0.371
O1 0.127 0.127 0.567
O2 0.127 0.567 0.127
O3 0.141 0.141 0.141
O4 0.143 0.630 0.630
O5 0.567 0.127 0.127
O6 0.621 0.621 0.621
O7 0.630 0.143 0.630
O8 0.630 0.630 0.143
```

No. 2
Diffraction record for CaAl2V4O8. The powder X-ray diffraction pattern is simulated, not measured: it uses a structure optimized by DFT (GGA+U) and Cu Ka.
Peak positions follow from Bragg's law for the DFT cell and can differ from measured ones.

The 10 most intense peaks (5 to 70 degrees two-theta), by angle:
two_theta  d (Å)  I (rel.)
17.63  5.031  18
17.67  5.020  8
34.04  2.634  10
34.13  2.627  7
35.56  2.525  9
35.73  2.513  26
41.44  2.179  100
59.88  1.545  18
60.08  1.540  19
60.18  1.538  18

```
data_CaAl2V4O8
_cell_length_a 6.151
_cell_length_b 6.151
_cell_length_c 6.165
_cell_angle_alpha 119.78
_cell_angle_beta 119.78
_cell_angle_gamma 60.05
_symmetry_space_group_name_H-M 'P 1'
_symmetry_Int_Tables_number 1
loop_
_symmetry_equiv_pos_as_xyz
'x,y,z'
loop_
_atom_site_label
_atom_site_fract_x
_atom_site_fract_y
_atom_site_fract_z
Ca1 0.000 0.000 0.000
Al1 0.000 0.500 0.000
Al2 0.500 0.000 0.000
V1 0.000 0.500 0.500
V2 0.500 0.000 0.500
V3 0.500 0.500 0.000
V4 0.500 0.500 0.500
O1 0.232 0.701 0.215
O2 0.255 0.255 0.778
O3 0.256 0.256 0.241
O4 0.299 0.768 0.785
O5 0.701 0.232 0.215
O6 0.744 0.744 0.759
O7 0.745 0.745 0.222
O8 0.768 0.299 0.785
```